Structure and computed powder diffractogram of ErRu2 (the PBE geometry in the Materials Project; CuKα).

The 12 most intense peaks (15° ≤ 2θ ≤ 90°), low angle first:
34.1 deg, intensity 46.2
36.1 deg, intensity 97.6
39.6 deg, intensity 13.1
39.8 deg, intensity 100.0
40.5 deg, intensity 12.3
40.9 deg, intensity 75.2
62.4 deg, intensity 36.3
64.9 deg, intensity 23.6
66.7 deg, intensity 31.3
71.8 deg, intensity 26.1
76.7 deg, intensity 12.1
83.2 deg, intensity 17.6

Structural model:
```
data_ErRu2
_space_group_name_H-M_alt 'P 63/m m c'
_space_group_IT_number 194
_space_group_name_Hall '-P 6c 2c'
_cell_length_a 5.2563
_cell_length_b 5.2563
_cell_length_c 8.9004
_cell_angle_alpha 90.00
_cell_angle_beta 90.00
_cell_angle_gamma 120.00
loop_
_atom_site_label
_atom_site_type_symbol
_atom_site_fract_x
_atom_site_fract_y
_atom_site_fract_z
Er1 Er 0.3333 0.6667 0.0669
Ru1 Ru 0.0000 0.0000 0.0000
Ru2 Ru 0.1709 0.3418 0.7500
```

Structure and computed powder diffractogram of Ba2HCl2 (the PBE geometry in the Materials Project; CuKα).

The 12 most intense peaks (15° ≤ 2θ ≤ 90°), low angle first:
18.7 deg, intensity 71.9
19.8 deg, intensity 100.0
23.4 deg, intensity 74.9
27.4 deg, intensity 29.9
28.1 deg, intensity 41.4
31.5 deg, intensity 68.8
34.0 deg, intensity 41.6
34.5 deg, intensity 24.4
36.9 deg, intensity 27.9
40.6 deg, intensity 26.8
42.7 deg, intensity 25.9
45.1 deg, intensity 43.8

Structural model:
```
data_Ba2HCl2
_space_group_name_H-M_alt 'P 4/m m m'
_space_group_IT_number 123
_space_group_name_Hall '-P 4 2'
_cell_length_a 6.3476
_cell_length_b 6.3476
_cell_length_c 14.2348
_cell_angle_alpha 90.00
_cell_angle_beta 90.00
_cell_angle_gamma 90.00
loop_
_atom_site_label
_atom_site_type_symbol
_atom_site_fract_x
_atom_site_fract_y
_atom_site_fract_z
Ba1 Ba 0.0000 0.0000 0.1778
H1 H 0.0000 0.0000 0.0000
Cl1 Cl 0.0000 0.0000 0.3681
```